1.
Simulated powder diffractogram
Compound: In2SbS5
Radiation: Cu Kα, 1.54184 Å
Structure: a structure optimized by DFT (PBE)

Principal peaks in the range 10 to 90 degrees two-theta, sorted by position:
2theta, I_rel
13.77, 71
18.17, 100
25.51, 82
26.79, 40
28.19, 43
33.97, 59
35.29, 51
42.96, 40
44.86, 34
49.79, 37

Cell and atoms:
Cell: 6.951 6.951 12.471 Å, 90.00 90.00 135.38°
Fractional coordinates of all 16 atoms:
In1 0.150 0.850 0.561
In2 0.150 0.850 0.939
In3 0.850 0.150 0.061
In4 0.850 0.150 0.439
Sb1 0.193 0.807 0.250
Sb2 0.807 0.193 0.750
S1 0.048 0.952 0.115
S2 0.048 0.952 0.385
S3 0.251 0.749 0.750
S4 0.316 0.684 0.069
S5 0.316 0.684 0.431
S6 0.684 0.316 0.569
S7 0.684 0.316 0.931
S8 0.749 0.251 0.250
S9 0.952 0.048 0.615
S10 0.952 0.048 0.885


2.
Simulated powder diffractogram
Compound: Tm3CdOs
Radiation: Cu Kα, 1.54184 Å
Structure: a structure optimized by DFT (PBE)

Principal peaks in the range 10 to 90 degrees two-theta, sorted by position:
2theta, I_rel
11.01, 41
31.87, 61
32.54, 58
35.52, 100
35.66, 31
35.83, 67
37.67, 23
38.54, 39
40.65, 44
57.96, 30

Cell and atoms:
Cell: 9.348 8.652 5.753 Å, 78.08 64.90 37.02°
Fractional coordinates of all 10 atoms:
Tm1 0.200 0.577 0.423
Tm2 0.201 0.201 0.799
Tm3 0.423 0.800 0.200
Tm4 0.577 0.200 0.800
Tm5 0.799 0.799 0.201
Tm6 0.800 0.423 0.577
Cd1 0.210 0.790 0.790
Cd2 0.790 0.210 0.210
Os1 0.250 0.250 0.250
Os2 0.750 0.750 0.750


3.
Simulated powder diffractogram
Compound: GeSe2
Radiation: Cu Kα, 1.54184 Å
Structure: a structure optimized by DFT (PBE)

Principal peaks in the range 10 to 90 degrees two-theta, sorted by position:
2theta, I_rel
17.29, 38
27.88, 100
29.46, 10
42.15, 28
48.31, 38
51.29, 35
61.13, 9
61.80, 10
77.64, 10
81.49, 15

Cell and atoms:
Cell: 6.442 6.442 6.442 Å, 123.85 123.85 83.46°
Fractional coordinates of all 6 atoms:
Ge1 0.000 0.000 0.000
Ge2 0.750 0.250 0.500
Se1 0.110 0.125 0.485
Se2 0.375 0.890 0.015
Se3 0.640 0.625 0.515
Se4 0.875 0.360 0.985


4.
Simulated powder diffractogram
Compound: Sm4Ga2Br5
Radiation: Cu Kα, 1.54184 Å
Structure: a structure optimized by DFT (PBE)

Principal peaks in the range 10 to 90 degrees two-theta, sorted by position:
2theta, I_rel
10.67, 100
12.15, 40
22.57, 32
27.48, 52
30.64, 43
31.34, 89
34.58, 33
37.81, 23
43.63, 38
44.37, 22

Cell and atoms:
Cell: 12.107 12.107 8.376 Å, 97.92 97.92 19.41°
Fractional coordinates of all 11 atoms:
Sm1 0.016 0.016 0.281
Sm2 0.339 0.339 0.544
Sm3 0.661 0.661 0.456
Sm4 0.984 0.984 0.719
Ga1 0.448 0.448 0.456
Ga2 0.552 0.552 0.544
Br1 0.137 0.137 0.204
Br2 0.219 0.219 0.672
Br3 0.500 0.500 0.000
Br4 0.781 0.781 0.328
Br5 0.863 0.863 0.796


5.
Simulated powder diffractogram
Compound: Nb2AlV5Ga2
Radiation: Cu Kα, 1.54184 Å
Structure: a structure optimized by DFT (PBE)

Principal peaks in the range 10 to 90 degrees two-theta, sorted by position:
2theta, I_rel
13.80, 20
27.57, 13
30.96, 14
39.57, 100
41.02, 34
42.26, 25
43.32, 32
46.82, 21
48.61, 26
65.44, 16

Cell and atoms:
Cell: 9.073 9.073 3.746 Å, 90.00 90.00 90.00°
Fractional coordinates of all 20 atoms:
Nb1 0.169 0.331 0.000
Nb2 0.331 0.831 0.000
Nb3 0.669 0.169 0.000
Nb4 0.831 0.669 0.000
Al1 0.000 0.000 0.000
Al2 0.500 0.500 0.000
V1 0.000 0.500 0.500
V2 0.068 0.804 0.500
V3 0.196 0.068 0.500
V4 0.304 0.568 0.500
V5 0.432 0.304 0.500
V6 0.500 0.000 0.500
V7 0.568 0.696 0.500
V8 0.696 0.432 0.500
V9 0.804 0.932 0.500
V10 0.932 0.196 0.500
Ga1 0.128 0.628 0.000
Ga2 0.372 0.128 0.000
Ga3 0.628 0.872 0.000
Ga4 0.872 0.372 0.000


6.
Simulated powder diffractogram
Compound: CsUFeS3
Radiation: Cu Kα, 1.54184 Å
Structure: a structure optimized by DFT (PBE)

Principal peaks in the range 10 to 90 degrees two-theta, sorted by position:
2theta, I_rel
11.01, 100
20.33, 23
20.67, 29
22.12, 58
25.10, 46
29.80, 72
30.70, 24
31.04, 40
36.44, 34
38.70, 18

Cell and atoms:
Cell: 9.466 3.883 9.621 Å, 90.00 114.76 90.00°
Fractional coordinates of all 12 atoms:
Cs1 0.212 0.250 0.245
Cs2 0.788 0.750 0.755
U1 0.319 0.750 0.838
U2 0.681 0.250 0.162
Fe1 0.084 0.250 0.587
Fe2 0.916 0.750 0.413
S1 0.130 0.250 0.847
S2 0.174 0.750 0.534
S3 0.472 0.750 0.151
S4 0.528 0.250 0.849
S5 0.826 0.250 0.466
S6 0.870 0.750 0.153


7.
Simulated powder diffractogram
Compound: Y3TmCo
Radiation: Cu Kα, 1.54184 Å
Structure: a structure optimized by DFT (PBE)

Principal peaks in the range 10 to 90 degrees two-theta, sorted by position:
2theta, I_rel
29.46, 29
31.45, 100
31.84, 49
40.88, 27
41.19, 12
48.71, 13
49.52, 24
53.52, 22
58.68, 16
59.37, 17

Cell and atoms:
Cell: 7.477 6.343 6.064 Å, 90.00 90.00 90.00°
Fractional coordinates of all 10 atoms:
Y1 0.000 0.154 0.000
Y2 0.249 0.323 0.498
Y3 0.251 0.677 0.998
Y4 0.500 0.846 0.500
Y5 0.749 0.677 0.998
Y6 0.751 0.323 0.498
Tm1 0.000 0.840 0.498
Tm2 0.500 0.160 0.998
Co1 0.000 0.503 0.249
Co2 0.500 0.497 0.749


8.
Simulated powder diffractogram
Compound: SeS2ICl
Radiation: Cu Kα, 1.54184 Å
Structure: a structure optimized by DFT (PBE)

Principal peaks in the range 10 to 90 degrees two-theta, sorted by position:
2theta, I_rel
25.21, 55
25.53, 100
31.27, 47
35.95, 67
36.88, 31
44.61, 45
45.20, 23
51.75, 22
52.45, 43
65.23, 22

Cell and atoms:
Cell: 4.996 4.996 4.874 Å, 90.00 90.00 90.00°
Fractional coordinates of all 5 atoms:
Se1 0.000 0.000 0.000
S1 0.000 0.500 0.000
S2 0.500 0.000 0.000
I1 0.500 0.500 0.500
Cl1 0.000 0.000 0.500